NbCoNiAu2: calculated PXRD pattern (Cu Kα (weighted mean of Kα1 and Kα2)), based on a crystal structure in Alexandria, relaxed with PBE.

Most intense lines, 2θ = 5–70°, by intensity:
32.26°, I 100, (1 1 1); 35.28°, I 83, (2 0 0); 20.36°, I 55, (0 0 1); 55.51°, I 44, (2 0 2); 41.08°, I 38, (2 0 1); 61.43°, I 32, (3 1 1)

Crystal structure
Cell lengths 5.087, 5.087, 4.361 Å; angles 90.00, 90.00, 90.00 degrees
Space group P4/mmm (No. 123)
Unique sites:
Nb 0.000 0.000 0.000
Co 0.000 0.000 0.500
Ni 0.500 0.500 0.500
Au 0.000 0.500 0.000